Entry 1:
For CeSm5Bi5, a crystal structure in Alexandria, relaxed with GGA-PBE gives the theoretical XRD peak list in this record (λ = 1.5418 Å (Cu Kα)).
Kinematic intensities with the Lorentz-polarization factor, no thermal factor.

Atomic structure:
```
data_CeSm5Bi5
_space_group_name_H-M_alt 'C 1 2/m 1'
_space_group_IT_number 12
_cell_length_a 14.250
_cell_length_b 6.406
_cell_length_c 9.022
_cell_angle_alpha 90.00
_cell_angle_beta 108.43
_cell_angle_gamma 90.00
loop_
_space_group_symop_operation_xyz
'x,y,z'
'-x,-y,-z'
'-x,y,-z'
'x,-y,z'
'x+1/2,y+1/2,z'
'-x+1/2,-y+1/2,-z'
'-x+1/2,y+1/2,-z'
'x+1/2,-y+1/2,z'
loop_
_atom_site_label
_atom_site_type_symbol
_atom_site_fract_x
_atom_site_fract_y
_atom_site_fract_z
Ce1 Ce 0.000 0.000 0.000
Sm1 Sm 0.000 0.000 0.500
Sm2 Sm 0.165 0.500 0.830
Sm3 Sm 0.166 0.500 0.335
Bi1 Bi 0.000 0.500 0.000
Bi2 Bi 0.167 0.000 0.335
Bi3 Bi 0.169 0.000 0.832
```

Top 12 peaks for 10° ≤ 2θ ≤ 90°, by intensity:
2θ (°), d_spacing, I/Imax, h k l
27.99, 3.188, 100.0, 2 0 2
39.91, 2.259, 98.3, 2 2 2
27.85, 3.203, 50.7, 0 2 0
49.44, 1.844, 42.8, 6 2 0
65.40, 1.427, 27.9, 4 2 4
72.57, 1.303, 27.7, 8 2 2
40.01, 2.253, 19.5, 6 0 0
65.19, 1.431, 19.2, 2 4 2
72.38, 1.306, 14.0, 6 4 0
57.84, 1.594, 13.4, 4 0 4
65.49, 1.425, 9.3, 8 0 2
86.05, 1.130, 9.2, 4 4 4



Entry 2:
For Zr3Sb2Pd, a crystal structure in Alexandria, relaxed with GGA-PBE gives the theoretical XRD peak list in this record (λ = 1.5418 Å (Cu Kα)).
Kinematic intensities with the Lorentz-polarization factor, no thermal factor.

Atomic structure:
```
data_Zr3Sb2Pd
_space_group_name_H-M_alt 'P n m a'
_space_group_IT_number 62
_cell_length_a 11.668
_cell_length_b 4.277
_cell_length_c 10.471
_cell_angle_alpha 90.00
_cell_angle_beta 90.00
_cell_angle_gamma 90.00
loop_
_space_group_symop_operation_xyz
'x,y,z'
'-x,-y,-z'
'-x+1/2,-y,z+1/2'
'x+1/2,y,-z+1/2'
'x+1/2,-y+1/2,-z+1/2'
'-x+1/2,y+1/2,z+1/2'
'-x,y+1/2,-z'
'x,-y+1/2,z'
loop_
_atom_site_label
_atom_site_type_symbol
_atom_site_fract_x
_atom_site_fract_y
_atom_site_fract_z
Zr1 Zr 0.030 0.250 0.117
Zr2 Zr 0.129 0.750 0.583
Zr3 Zr 0.195 0.250 0.827
Sb1 Sb 0.019 0.750 0.319
Sb2 Sb 0.191 0.750 0.038
Pd1 Pd 0.152 0.250 0.355
```

Top 12 peaks for 10° ≤ 2θ ≤ 90°, by intensity:
2θ (°), d_spacing, I/Imax, h k l
35.60, 2.522, 100.0, 3 1 2
42.26, 2.139, 31.2, 0 2 0
35.14, 2.554, 25.0, 1 0 4
41.22, 2.190, 22.8, 4 1 2
31.05, 2.880, 18.5, 2 1 2
38.33, 2.348, 13.9, 4 1 1
56.09, 1.640, 12.6, 1 2 4
72.94, 1.297, 11.7, 3 3 2
66.16, 1.412, 11.2, 0 1 7
49.43, 1.844, 10.8, 3 0 5
67.01, 1.397, 10.5, 3 2 5
33.13, 2.704, 9.6, 0 1 3



Entry 3:
For HoInPb2S5, a crystal structure in Alexandria, relaxed with GGA-PBE gives the theoretical XRD peak list in this record (λ = 1.5418 Å (Cu Kα)).
Kinematic intensities with the Lorentz-polarization factor, no thermal factor.

Atomic structure:
```
data_HoInPb2S5
_space_group_name_H-M_alt 'C m c 21'
_space_group_IT_number 36
_cell_length_a 4.001
_cell_length_b 17.723
_cell_length_c 12.968
_cell_angle_alpha 90.00
_cell_angle_beta 90.00
_cell_angle_gamma 90.00
loop_
_space_group_symop_operation_xyz
'x,y,z'
'-x,-y,z+1/2'
'-x,y,z'
'x,-y,z+1/2'
'x+1/2,y+1/2,z'
'-x+1/2,-y+1/2,z+1/2'
'-x+1/2,y+1/2,z'
'x+1/2,-y+1/2,z+1/2'
loop_
_atom_site_label
_atom_site_type_symbol
_atom_site_fract_x
_atom_site_fract_y
_atom_site_fract_z
Ho1 Ho 0.000 0.206 0.000
In1 In 0.000 0.454 0.415
Pb1 Pb 0.000 0.127 0.643
Pb2 Pb 0.000 0.131 0.290
S1 S 0.000 0.047 0.030
S2 S 0.000 0.289 0.644
S3 S 0.000 0.315 0.358
S4 S 0.000 0.357 0.991
S5 S 0.000 0.482 0.751
```

Top 12 peaks for 10° ≤ 2θ ≤ 90°, by intensity:
2θ (°), d_spacing, I/Imax, h k l
30.87, 2.897, 100.0, 1 1 3
22.89, 3.885, 87.3, 0 2 3
31.05, 2.880, 55.8, 0 6 1
26.91, 3.313, 51.3, 1 3 0
39.87, 2.261, 32.8, 1 5 3
27.80, 3.210, 32.3, 1 3 1
36.60, 2.455, 29.3, 1 5 2
24.33, 3.658, 29.0, 0 4 2
26.66, 3.344, 28.2, 1 1 2
45.33, 2.000, 24.8, 2 0 0
51.37, 1.779, 21.3, 2 2 3
36.06, 2.491, 21.0, 0 2 5



Entry 4:
For IrRuRh2Se8, a crystal structure in Alexandria, relaxed with GGA-PBE gives the theoretical XRD peak list in this record (λ = 1.5418 Å (Cu Kα)).
Kinematic intensities with the Lorentz-polarization factor, no thermal factor.

Atomic structure:
```
data_IrRuRh2Se8
_space_group_name_H-M_alt 'P 1 2/m 1'
_space_group_IT_number 10
_cell_length_a 5.044
_cell_length_b 7.700
_cell_length_c 6.036
_cell_angle_alpha 90.00
_cell_angle_beta 90.20
_cell_angle_gamma 90.00
loop_
_space_group_symop_operation_xyz
'x,y,z'
'-x,-y,-z'
'-x,y,-z'
'x,-y,z'
loop_
_atom_site_label
_atom_site_type_symbol
_atom_site_fract_x
_atom_site_fract_y
_atom_site_fract_z
Ir1 Ir 0.000 0.000 0.000
Ru1 Ru 0.000 0.500 0.000
Rh1 Rh 0.500 0.251 0.500
Se1 Se 0.212 0.500 0.629
Se2 Se 0.215 0.000 0.626
Se3 Se 0.280 0.252 0.126
```

Top 12 peaks for 10° ≤ 2θ ≤ 90°, by intensity:
2θ (°), d_spacing, I/Imax, h k l
45.55, 1.991, 100.0, 2 2 1
29.18, 3.060, 84.2, 1 2 0
22.98, 3.871, 63.6, 1 0 -1
32.82, 2.729, 62.0, 1 2 1
51.23, 1.783, 40.0, 0 2 3
42.05, 2.149, 38.3, 1 2 2
47.21, 1.925, 35.3, 0 4 0
34.58, 2.594, 32.5, 1 0 -2
29.60, 3.018, 23.9, 0 0 2
34.69, 2.586, 19.3, 1 0 2
56.76, 1.622, 16.3, 3 0 -1
76.93, 1.239, 14.9, 3 4 1



Entry 5:
For Tb3Si4Tc2, a crystal structure in Alexandria, relaxed with GGA-PBE gives the theoretical XRD peak list in this record (λ = 1.5418 Å (Cu Kα)).
Kinematic intensities with the Lorentz-polarization factor, no thermal factor.

Atomic structure:
```
data_Tb3Si4Tc2
_space_group_name_H-M_alt 'C 1 2/m 1'
_space_group_IT_number 12
_cell_length_a 10.784
_cell_length_b 4.186
_cell_length_c 8.176
_cell_angle_alpha 90.00
_cell_angle_beta 109.20
_cell_angle_gamma 90.00
loop_
_space_group_symop_operation_xyz
'x,y,z'
'-x,-y,-z'
'-x,y,-z'
'x,-y,z'
'x+1/2,y+1/2,z'
'-x+1/2,-y+1/2,-z'
'-x+1/2,y+1/2,-z'
'x+1/2,-y+1/2,z'
loop_
_atom_site_label
_atom_site_type_symbol
_atom_site_fract_x
_atom_site_fract_y
_atom_site_fract_z
Tb1 Tb 0.000 0.000 0.000
Tb2 Tb 0.122 0.500 0.697
Si1 Si 0.100 0.000 0.416
Si2 Si 0.216 0.500 0.075
Tc1 Tc 0.182 0.500 0.351
```

Top 12 peaks for 10° ≤ 2θ ≤ 90°, by intensity:
2θ (°), d_spacing, I/Imax, h k l
34.83, 2.576, 100.0, 0 0 3
34.00, 2.637, 97.6, 3 1 0
24.40, 3.648, 52.8, 1 1 -1
43.23, 2.093, 46.7, 0 2 0
35.27, 2.545, 46.3, 4 0 -2
30.59, 2.923, 45.8, 1 1 -2
23.89, 3.724, 44.3, 2 0 1
42.35, 2.134, 41.2, 3 1 -3
32.98, 2.716, 36.7, 3 1 -1
40.81, 2.211, 29.0, 4 0 1
56.69, 1.624, 26.2, 0 2 3
64.53, 1.444, 23.5, 7 1 -2



Please write out number 5 again, unchanged.
For Tb3Si4Tc2, a crystal structure in Alexandria, relaxed with GGA-PBE gives the theoretical XRD peak list in this record (λ = 1.5418 Å (Cu Kα)).
Kinematic intensities with the Lorentz-polarization factor, no thermal factor.

Atomic structure:
```
data_Tb3Si4Tc2
_space_group_name_H-M_alt 'C 1 2/m 1'
_space_group_IT_number 12
_cell_length_a 10.784
_cell_length_b 4.186
_cell_length_c 8.176
_cell_angle_alpha 90.00
_cell_angle_beta 109.20
_cell_angle_gamma 90.00
loop_
_space_group_symop_operation_xyz
'x,y,z'
'-x,-y,-z'
'-x,y,-z'
'x,-y,z'
'x+1/2,y+1/2,z'
'-x+1/2,-y+1/2,-z'
'-x+1/2,y+1/2,-z'
'x+1/2,-y+1/2,z'
loop_
_atom_site_label
_atom_site_type_symbol
_atom_site_fract_x
_atom_site_fract_y
_atom_site_fract_z
Tb1 Tb 0.000 0.000 0.000
Tb2 Tb 0.122 0.500 0.697
Si1 Si 0.100 0.000 0.416
Si2 Si 0.216 0.500 0.075
Tc1 Tc 0.182 0.500 0.351
```

Top 12 peaks for 10° ≤ 2θ ≤ 90°, by intensity:
2θ (°), d_spacing, I/Imax, h k l
34.83, 2.576, 100.0, 0 0 3
34.00, 2.637, 97.6, 3 1 0
24.40, 3.648, 52.8, 1 1 -1
43.23, 2.093, 46.7, 0 2 0
35.27, 2.545, 46.3, 4 0 -2
30.59, 2.923, 45.8, 1 1 -2
23.89, 3.724, 44.3, 2 0 1
42.35, 2.134, 41.2, 3 1 -3
32.98, 2.716, 36.7, 3 1 -1
40.81, 2.211, 29.0, 4 0 1
56.69, 1.624, 26.2, 0 2 3
64.53, 1.444, 23.5, 7 1 -2